Starting from a GGA-PBE-relaxed structure, the powder X-ray diffraction pattern of Nd4In16Co3 was calculated for Cu Ka.
Neutral-atom scattering factors, no anomalous dispersion.

Principal peaks in the range 2θ from 10° to 90°, in order of rising 2θ:
d_spacing	I/Imax	(hkl)
3.196	130	2 0 1
2.916	556	2 0 2
2.579	1000	2 0 3
2.469	308	0 0 5
2.340	703	2 2 0
2.257	165	2 0 4
1.698	374	2 2 5
1.655	228	4 0 0
1.439	114	4 2 2
1.399	151	2 0 8
1.393	262	4 2 3
1.374	177	4 0 5

Atomic structure:
```
data_Nd4In16Co3
_chemical_formula_sum 'Nd4 In16 Co3'
_space_group_name_H-M_alt 'P 4/m m m'
_space_group_IT_number 123
_space_group_name_Hall '-P 4 2'
_cell_length_a 6.6180
_cell_length_b 6.6180
_cell_length_c 12.3460
_cell_angle_alpha 90.00
_cell_angle_beta 90.00
_cell_angle_gamma 90.00
loop_
_atom_site_label
_atom_site_type_symbol
_atom_site_fract_x
_atom_site_fract_y
_atom_site_fract_z
Nd1 Nd 0.0000 0.5000 0.1961
In1 In 0.0000 0.0000 0.1952
In2 In 0.2282 0.2282 0.0000
In3 In 0.2495 0.2495 0.3839
In4 In 0.5000 0.5000 0.2096
Co1 Co 0.0000 0.5000 0.5000
Co2 Co 0.5000 0.5000 0.0000
```